Diffraction record for Li3Pu2Au4. The X-ray powder pattern is simulated, not measured: it uses a crystal structure in Alexandria, relaxed with PBE and Cu Ka.
Intensities are scaled so that the largest is 100.

Peak list (10 most intense, 5 to 70 degrees two-theta, by angle)
d 3.485, rel. 91.4
d 2.754, rel. 51.5
d 2.744, rel. 25.2
d 2.594, rel. 100.0
d 2.588, rel. 58.5
d 2.465, rel. 86.3
d 2.343, rel. 89.1
d 2.161, rel. 24.3
d 1.836, rel. 24.6
d 1.619, rel. 24.6

Atomic structure:
```
Li3Pu2Au4
1.0
2.932 -7.787 0.000
2.932 7.787 0.000
0.000 0.000 7.801
Li Pu Au
6 4 8
Direct
0.000 0.000 0.000 Li
0.030 0.470 0.250 Li
0.470 0.030 0.750 Li
0.500 0.500 0.500 Li
0.530 0.970 0.250 Li
0.970 0.530 0.750 Li
0.109 0.891 0.409 Pu
0.391 0.609 0.909 Pu
0.609 0.391 0.091 Pu
0.891 0.109 0.591 Pu
0.185 0.815 0.034 Au
0.197 0.303 0.250 Au
0.303 0.197 0.750 Au
0.315 0.685 0.534 Au
0.685 0.315 0.466 Au
0.697 0.803 0.250 Au
0.803 0.697 0.750 Au
0.815 0.185 0.966 Au
```

Diffraction record for LiPuAu11. The X-ray powder pattern is simulated, not measured: it uses a crystal structure in Alexandria, relaxed with PBE and Cu Ka.
Intensities are scaled so that the largest is 100.

Peak list (10 most intense, 5 to 70 degrees two-theta, by angle)
d 2.746, rel. 68.8
d 2.404, rel. 45.9
d 2.379, rel. 100.0
d 2.359, rel. 52.9
d 2.152, rel. 14.2
d 2.139, rel. 39.0
d 2.118, rel. 22.2
d 2.113, rel. 14.8
d 1.388, rel. 14.1
d 1.372, rel. 22.7

Atomic structure:
```
LiPuAu11
1.0
2.744 -6.823 0.000
2.744 6.823 0.000
-2.724 0.000 6.650
Li Pu Au
1 1 11
Direct
0.000 0.000 0.000 Li
0.500 0.500 0.500 Pu
0.000 0.500 0.500 Au
0.006 0.799 0.282 Au
0.141 0.478 0.144 Au
0.201 0.994 0.718 Au
0.478 0.141 0.144 Au
0.500 0.000 0.500 Au
0.500 0.500 0.000 Au
0.522 0.859 0.856 Au
0.799 0.006 0.282 Au
0.859 0.522 0.856 Au
0.994 0.201 0.718 Au
```

Diffraction record for Li5PuAu4. The X-ray powder pattern is simulated, not measured: it uses a crystal structure in Alexandria, relaxed with PBE and Cu Ka.
Intensities are scaled so that the largest is 100.

Peak list (10 most intense, 5 to 70 degrees two-theta, by angle)
d 4.873, rel. 12.9
d 3.898, rel. 78.5
d 2.948, rel. 100.0
d 2.351, rel. 92.3
d 2.183, rel. 12.9
d 2.084, rel. 42.4
d 1.838, rel. 41.2
d 1.626, rel. 14.2
d 1.474, rel. 14.2
d 1.379, rel. 16.3

Atomic structure:
```
Li5PuAu4
1.0
2.948 0.000 0.000
0.000 2.948 0.000
0.000 0.000 19.491
Li Pu Au
5 1 4
Direct
0.000 0.000 0.000 Li
0.000 0.000 0.184 Li
0.000 0.000 0.362 Li
0.000 0.000 0.638 Li
0.000 0.000 0.816 Li
0.500 0.500 0.500 Pu
0.500 0.500 0.092 Au
0.500 0.500 0.276 Au
0.500 0.500 0.724 Au
0.500 0.500 0.908 Au
```

Diffraction record for Li2SmPuAu4. The X-ray powder pattern is simulated, not measured: it uses a crystal structure in Alexandria, relaxed with PBE and Cu Ka.
Intensities are scaled so that the largest is 100.

Peak list (10 most intense, 5 to 70 degrees two-theta, by angle)
d 3.809, rel. 74.6
d 3.453, rel. 24.5
d 2.638, rel. 98.4
d 2.303, rel. 76.3
d 2.283, rel. 100.0
d 1.958, rel. 12.4
d 1.727, rel. 28.3
d 1.622, rel. 26.2
d 1.487, rel. 10.3
d 1.377, rel. 27.1

Atomic structure:
```
Li2SmPuAu4
1.0
2.283 1.318 9.445
-2.283 1.318 9.445
0.000 -2.637 9.445
Li Sm Pu Au
2 1 1 4
Direct
0.250 0.250 0.250 Li
0.750 0.750 0.750 Li
0.000 0.000 0.000 Sm
0.500 0.500 0.500 Pu
0.110 0.110 0.110 Au
0.390 0.390 0.390 Au
0.610 0.610 0.610 Au
0.890 0.890 0.890 Au
```

Diffraction record for Rb2LiAu2. The X-ray powder pattern is simulated, not measured: it uses a crystal structure in Alexandria, relaxed with PBE and Cu Ka.
Intensities are scaled so that the largest is 100.

Peak list (10 most intense, 5 to 70 degrees two-theta, by angle)
d 5.195, rel. 21.8
d 4.528, rel. 45.5
d 3.897, rel. 25.8
d 3.135, rel. 100.0
d 3.114, rel. 84.1
d 2.905, rel. 25.0
d 2.675, rel. 22.1
d 2.515, rel. 41.0
d 2.493, rel. 30.6
d 1.547, rel. 24.1

Atomic structure:
```
Rb2LiAu2
1.0
6.101 -2.515 0.000
6.101 2.515 0.000
-5.745 0.000 10.484
Rb Li Au
4 2 4
Direct
0.088 0.088 0.393 Rb
0.327 0.327 0.818 Rb
0.673 0.673 0.182 Rb
0.912 0.912 0.607 Rb
0.336 0.336 0.117 Li
0.664 0.664 0.883 Li
0.087 0.087 0.947 Au
0.388 0.388 0.375 Au
0.612 0.612 0.625 Au
0.913 0.913 0.053 Au
```

Diffraction record for RbLiAu10. The X-ray powder pattern is simulated, not measured: it uses a crystal structure in Alexandria, relaxed with PBE and Cu Ka.
Intensities are scaled so that the largest is 100.

Peak list (10 most intense, 5 to 70 degrees two-theta, by angle)
d 4.896, rel. 86.1
d 2.448, rel. 27.8
d 2.422, rel. 94.3
d 2.351, rel. 41.7
d 2.171, rel. 100.0
d 2.119, rel. 20.7
d 1.696, rel. 18.5
d 1.541, rel. 15.0
d 1.414, rel. 12.1
d 1.371, rel. 16.1

Atomic structure:
```
RbLiAu10
1.0
4.702 0.000 0.000
0.000 5.644 0.000
0.000 0.000 9.804
Rb Li Au
1 1 10
Direct
0.000 0.000 0.000 Rb
0.000 0.500 0.500 Li
0.000 0.000 0.345 Au
0.000 0.000 0.655 Au
0.000 0.500 0.201 Au
0.000 0.500 0.799 Au
0.500 0.000 0.500 Au
0.500 0.250 0.254 Au
0.500 0.250 0.746 Au
0.500 0.500 0.000 Au
0.500 0.750 0.254 Au
0.500 0.750 0.746 Au
```